Record 1
For NdErSeO2, a DFT-relaxed cell (GGA-PBE, Alexandria) gives the simulated XRD peak list in this record (Cu Ka).
Lines closer than 0.1° are merged.

Top 6 peaks for 15 to 90 degrees two-theta, by angle:
| d (Å) | I_rel |
| --- | --- |
| 3.420 | 100.0 |
| 2.872 | 72.3 |
| 2.801 | 68.6 |
| 2.746 | 58.4 |
| 2.725 | 41.6 |
| 2.487 | 50.4 |

a = 6.613 Å, b = 4.079 Å, c = 7.717 Å
α = 90.00°, β = 108.38°, γ = 90.00°
Atoms (fractional coordinates):
Nd1 0.190 0.250 0.429
Nd2 0.810 0.750 0.571
Er1 0.170 0.250 0.921
Er2 0.830 0.750 0.079
Se1 0.454 0.750 0.748
Se2 0.546 0.250 0.252
O1 0.016 0.750 0.370
O2 0.018 0.750 0.889
O3 0.982 0.250 0.111
O4 0.984 0.250 0.630



Record 2
For HoHf2Al, a DFT-relaxed cell (GGA-PBE, Alexandria) gives the simulated XRD peak list in this record (Cu Ka).
Lines closer than 0.1° are merged.

Top 6 peaks for 15 to 90 degrees two-theta, by angle:
| d (Å) | I_rel |
| --- | --- |
| 4.445 | 21.2 |
| 3.144 | 18.3 |
| 2.567 | 100.0 |
| 2.223 | 49.8 |
| 1.572 | 33.9 |
| 1.341 | 26.7 |

a = 4.449 Å, b = 4.449 Å, c = 4.439 Å
α = 90.00°, β = 90.00°, γ = 90.00°
Atoms (fractional coordinates):
Ho1 0.000 0.000 0.000
Hf1 0.000 0.500 0.500
Hf2 0.500 0.000 0.500
Al1 0.500 0.500 0.000



Record 3
For Ga2Pt3Rh, a DFT-relaxed cell (GGA-PBE, Alexandria) gives the simulated XRD peak list in this record (Cu Ka).
Lines closer than 0.1° are merged.

Top 6 peaks for 15 to 90 degrees two-theta, by angle:
| d (Å) | I_rel |
| --- | --- |
| 2.298 | 64.8 |
| 2.265 | 30.5 |
| 2.217 | 100.0 |
| 2.206 | 60.4 |
| 2.064 | 50.9 |
| 1.906 | 31.0 |

a = 4.129 Å, b = 7.886 Å, c = 5.533 Å
α = 90.00°, β = 90.00°, γ = 90.00°
Atoms (fractional coordinates):
Ga1 0.000 0.142 0.000
Ga2 0.000 0.858 0.500
Ga3 0.500 0.346 0.387
Ga4 0.500 0.654 0.887
Pt1 0.000 0.180 0.532
Pt2 0.000 0.463 0.160
Pt3 0.000 0.537 0.660
Pt4 0.000 0.820 0.032
Pt5 0.500 0.319 0.863
Pt6 0.500 0.681 0.363
Rh1 0.500 0.036 0.231
Rh2 0.500 0.964 0.731



Record 4
For Er8TlRu2, a DFT-relaxed cell (GGA-PBE, Alexandria) gives the simulated XRD peak list in this record (Cu Ka).
Lines closer than 0.1° are merged.

Top 6 peaks for 15 to 90 degrees two-theta, by angle:
| d (Å) | I_rel |
| --- | --- |
| 2.869 | 100.0 |
| 2.830 | 66.8 |
| 2.707 | 44.5 |
| 2.616 | 79.1 |
| 2.525 | 95.0 |
| 2.104 | 27.8 |

a = 9.015 Å, b = 9.015 Å, c = 9.015 Å
α = 146.27°, β = 57.33°, γ = 135.09°
Atoms (fractional coordinates):
Er1 0.000 0.000 0.000
Er2 0.264 0.595 0.669
Er3 0.352 0.463 0.889
Er4 0.424 0.136 0.288
Er5 0.573 0.463 0.111
Er6 0.727 0.227 0.500
Er7 0.848 0.136 0.712
Er8 0.927 0.595 0.331
Tl1 0.296 0.796 0.500
Ru1 0.000 0.829 0.171
Ru2 0.657 0.829 0.829